Entry 1:
Structure and simulated powder diffraction line list of Li2WS4 (DFT lattice parameters and positions (GGA-PBE); Cu Ka).
No peak broadening, texture or thermal motion is included.

Cell and atoms:
Lattice parameters (Å, degrees): 6.065 6.065 5.815 90.00 90.00 90.00
Fractional coordinates of all 7 atoms:
Li  0.000  0.500  0.000
Li  0.500  0.000  0.000
W  0.000  0.000  0.000
S  0.213  0.213  0.214
S  0.213  0.787  0.786
S  0.787  0.213  0.786
S  0.787  0.787  0.214

Most intense lines, 15 to 90 degrees two-theta, by angle:
15.24 deg, d = 5.815 Å, I 76
20.71 deg, d = 4.289 Å, I 47
21.17 deg, d = 4.197 Å, I 100
25.81 deg, d = 3.451 Å, I 81
33.32 deg, d = 2.689 Å, I 25
36.55 deg, d = 2.458 Å, I 48
43.10 deg, d = 2.099 Å, I 39
45.75 deg, d = 1.983 Å, I 32

***

Entry 2:
Structure and simulated powder diffraction line list of LaSmPtBr (DFT lattice parameters and positions (GGA-PBE); Cu Ka).
No peak broadening, texture or thermal motion is included.

Cell and atoms:
Lattice parameters (Å, degrees): 4.194 4.194 23.715 90.00 90.00 120.00
Fractional coordinates of all 12 atoms:
La  0.000  0.000  0.000
La  0.333  0.667  0.667
La  0.667  0.333  0.333
Sm  0.000  0.000  0.201
Sm  0.333  0.667  0.868
Sm  0.667  0.333  0.534
Pt  0.000  0.000  0.599
Pt  0.333  0.667  0.265
Pt  0.667  0.333  0.932
Br  0.000  0.000  0.771
Br  0.333  0.667  0.437
Br  0.667  0.333  0.104

Most intense lines, 15 to 90 degrees two-theta, by angle:
25.65 deg, d = 3.473 Å, I 34
31.01 deg, d = 2.884 Å, I 100
36.26 deg, d = 2.477 Å, I 23
43.14 deg, d = 2.097 Å, I 45
44.71 deg, d = 2.027 Å, I 11
45.69 deg, d = 1.986 Å, I 26
54.08 deg, d = 1.696 Å, I 21
71.56 deg, d = 1.319 Å, I 20

***

Entry 3:
Structure and simulated powder diffraction line list of La8GeSe4Cl3 (DFT lattice parameters and positions (GGA-PBE); Cu Ka).
No peak broadening, texture or thermal motion is included.

Cell and atoms:
Lattice parameters (Å, degrees): 8.564 8.564 8.564 60.00 60.00 60.00
Fractional coordinates of all 16 atoms:
La  0.244  0.753  0.753
La  0.247  0.247  0.756
La  0.247  0.756  0.247
La  0.248  0.248  0.248
La  0.752  0.752  0.752
La  0.753  0.244  0.753
La  0.753  0.753  0.244
La  0.756  0.247  0.247
Ge  0.000  0.000  0.000
Se  0.000  0.000  0.500
Se  0.000  0.500  0.000
Se  0.500  0.000  0.000
Se  0.500  0.500  0.500
Cl  0.000  0.500  0.500
Cl  0.500  0.000  0.500
Cl  0.500  0.500  0.000

Most intense lines, 15 to 90 degrees two-theta, by angle:
25.48 deg, d = 3.496 Å, I 26
29.50 deg, d = 3.028 Å, I 100
42.21 deg, d = 2.141 Å, I 74
49.95 deg, d = 1.826 Å, I 13
52.33 deg, d = 1.748 Å, I 26
61.22 deg, d = 1.514 Å, I 12
69.40 deg, d = 1.354 Å, I 33
77.16 deg, d = 1.236 Å, I 24

***

Entry 4:
Structure and simulated powder diffraction line list of InFe6 (DFT lattice parameters and positions (GGA-PBE); Cu Ka).
No peak broadening, texture or thermal motion is included.

Cell and atoms:
Lattice parameters (Å, degrees): 5.970 5.970 5.970 90.00 90.00 90.00
Fractional coordinates of all 14 atoms:
In  0.000  0.000  0.000
In  0.500  0.500  0.500
Fe  0.000  0.250  0.500
Fe  0.000  0.500  0.250
Fe  0.000  0.500  0.750
Fe  0.000  0.750  0.500
Fe  0.250  0.000  0.500
Fe  0.250  0.500  0.000
Fe  0.500  0.000  0.250
Fe  0.500  0.000  0.750
Fe  0.500  0.250  0.000
Fe  0.500  0.750  0.000
Fe  0.750  0.000  0.500
Fe  0.750  0.500  0.000

Most intense lines, 15 to 90 degrees two-theta, by angle:
29.94 deg, d = 2.985 Å, I 44
36.88 deg, d = 2.437 Å, I 100
53.15 deg, d = 1.723 Å, I 11
57.79 deg, d = 1.595 Å, I 50
62.21 deg, d = 1.492 Å, I 20
70.56 deg, d = 1.335 Å, I 13
74.56 deg, d = 1.273 Å, I 11

***

Entry 5:
Structure and simulated powder diffraction line list of Y2Tm3In (DFT lattice parameters and positions (GGA-PBE); Cu Ka).
No peak broadening, texture or thermal motion is included.

Cell and atoms:
Lattice parameters (Å, degrees): 9.052 9.052 6.957 90.00 90.00 39.51
Fractional coordinates of all 12 atoms:
Y  0.163  0.209  0.250
Y  0.209  0.163  0.750
Y  0.791  0.837  0.250
Y  0.837  0.791  0.750
Tm  0.185  0.815  0.250
Tm  0.363  0.363  0.000
Tm  0.363  0.363  0.500
Tm  0.637  0.637  0.000
Tm  0.637  0.637  0.500
Tm  0.815  0.185  0.750
In  0.302  0.698  0.750
In  0.698  0.302  0.250

Most intense lines, 15 to 90 degrees two-theta, by angle:
30.01 deg, d = 2.977 Å, I 100
31.06 deg, d = 2.879 Å, I 43
31.50 deg, d = 2.840 Å, I 46
33.25 deg, d = 2.694 Å, I 89
33.57 deg, d = 2.669 Å, I 86
36.15 deg, d = 2.485 Å, I 57
54.61 deg, d = 1.681 Å, I 30
59.14 deg, d = 1.562 Å, I 50

***

Entry 6:
Structure and simulated powder diffraction line list of Li6Cd8Pb (DFT lattice parameters and positions (GGA-PBE); Cu Ka).
No peak broadening, texture or thermal motion is included.

Cell and atoms:
Lattice parameters (Å, degrees): 7.478 7.478 7.478 63.65 63.65 63.65
Fractional coordinates of all 15 atoms:
Li  0.100  0.647  0.374
Li  0.353  0.626  0.900
Li  0.374  0.100  0.647
Li  0.626  0.900  0.353
Li  0.647  0.374  0.100
Li  0.900  0.353  0.626
Cd  0.142  0.422  0.818
Cd  0.182  0.858  0.578
Cd  0.257  0.257  0.257
Cd  0.422  0.818  0.142
Cd  0.578  0.182  0.858
Cd  0.743  0.743  0.743
Cd  0.818  0.142  0.422
Cd  0.858  0.578  0.182
Pb  0.000  0.000  0.000

Most intense lines, 15 to 90 degrees two-theta, by angle:
23.87 deg, d = 3.728 Å, I 23
27.15 deg, d = 3.284 Å, I 100
33.07 deg, d = 2.709 Å, I 28
37.96 deg, d = 2.370 Å, I 41
39.58 deg, d = 2.277 Å, I 57
40.39 deg, d = 2.233 Å, I 25
48.66 deg, d = 1.871 Å, I 17
64.46 deg, d = 1.446 Å, I 12

***

Entry 7:
Structure and simulated powder diffraction line list of KPuCu2Te4 (DFT lattice parameters and positions (GGA-PBE); Cu Ka).
No peak broadening, texture or thermal motion is included.

Cell and atoms:
Lattice parameters (Å, degrees): 6.453 8.085 8.685 90.00 90.00 90.00
Fractional coordinates of all 16 atoms:
K  0.000  0.000  0.000
K  0.500  0.500  0.500
Pu  0.000  0.000  0.500
Pu  0.500  0.500  0.000
Cu  0.000  0.500  0.149
Cu  0.000  0.500  0.851
Cu  0.500  0.000  0.351
Cu  0.500  0.000  0.649
Te  0.250  0.250  0.250
Te  0.250  0.250  0.750
Te  0.250  0.750  0.250
Te  0.250  0.750  0.750
Te  0.750  0.250  0.250
Te  0.750  0.250  0.750
Te  0.750  0.750  0.250
Te  0.750  0.750  0.750

Most intense lines, 15 to 90 degrees two-theta, by angle:
27.10 deg, d = 3.291 Å, I 49
30.21 deg, d = 2.959 Å, I 100
31.58 deg, d = 2.833 Å, I 25
34.63 deg, d = 2.590 Å, I 69
35.60 deg, d = 2.522 Å, I 100
44.84 deg, d = 2.021 Å, I 26
55.88 deg, d = 1.645 Å, I 29
57.87 deg, d = 1.593 Å, I 32

***

Entry 8:
Structure and simulated powder diffraction line list of Rb2Al2B2O7 (DFT lattice parameters and positions (GGA-PBE); Cu Ka).
No peak broadening, texture or thermal motion is included.

Cell and atoms:
Lattice parameters (Å, degrees): 9.034 7.632 12.197 90.00 104.92 90.00
Fractional coordinates of all 52 atoms:
Rb  0.039  0.136  0.127
Rb  0.039  0.364  0.627
Rb  0.455  0.632  0.850
Rb  0.455  0.868  0.350
Rb  0.545  0.132  0.650
Rb  0.545  0.368  0.150
Rb  0.961  0.636  0.373
Rb  0.961  0.864  0.873
Al  0.186  0.577  0.134
Al  0.186  0.923  0.634
Al  0.342  0.123  0.878
Al  0.342  0.377  0.378
Al  0.658  0.623  0.622
Al  0.658  0.877  0.122
Al  0.814  0.077  0.366
Al  0.814  0.423  0.866
B  0.153  0.093  0.412
B  0.153  0.407  0.912
B  0.318  0.622  0.557
B  0.318  0.878  0.057
B  0.682  0.122  0.943
B  0.682  0.378  0.443
B  0.847  0.593  0.088
B  0.847  0.907  0.588
O  0.005  0.042  0.359
O  0.005  0.458  0.859
O  0.205  0.698  0.601
O  0.205  0.802  0.101
O  0.223  0.052  0.523
O  0.223  0.448  0.023
O  0.236  0.179  0.347
O  0.236  0.321  0.847
O  0.276  0.022  0.988
O  0.276  0.478  0.488
O  0.313  0.515  0.261
O  0.313  0.985  0.761
O  0.464  0.691  0.582
O  0.464  0.809  0.082
O  0.536  0.191  0.918
O  0.536  0.309  0.418
O  0.687  0.015  0.239
O  0.687  0.485  0.739
O  0.724  0.522  0.512
O  0.724  0.978  0.012
O  0.764  0.679  0.153
O  0.764  0.821  0.653
O  0.777  0.552  0.977
O  0.777  0.948  0.477
O  0.795  0.198  0.899
O  0.795  0.302  0.399
O  0.995  0.542  0.141
O  0.995  0.958  0.641

Most intense lines, 15 to 90 degrees two-theta, by angle:
24.94 deg, d = 3.571 Å, I 83
25.82 deg, d = 3.451 Å, I 68
27.34 deg, d = 3.262 Å, I 100
28.41 deg, d = 3.142 Å, I 38
30.33 deg, d = 2.947 Å, I 56
30.78 deg, d = 2.905 Å, I 40
31.96 deg, d = 2.800 Å, I 91
32.49 deg, d = 2.756 Å, I 70